This entry pairs a crystal structure of AcPr10Er6 with its simulated XRD peak list. Radiation: Cu Kα X-rays. Structure: DFT lattice parameters and positions (GGA-PBE).

Crystal structure
```
data_AcPr10Er6
_chemical_formula_sum 'Ac1 Pr10 Er6'
_symmetry_space_group_name_H-M 'P -3 1 m'
_symmetry_Int_Tables_number 162
_symmetry_space_group_name_Hall '-P 3 2'
_cell_length_a 9.9659
_cell_length_b 9.9659
_cell_length_c 6.9779
_cell_angle_alpha 90.00
_cell_angle_beta 90.00
_cell_angle_gamma 120.00
loop_
_atom_site_label
_atom_site_fract_x
_atom_site_fract_y
_atom_site_fract_z
Ac1 0.0000 0.0000 0.0000
Pr1 0.0000 0.2834 0.3284
Pr2 0.3333 0.6667 0.0000
Pr3 0.3333 0.6667 0.5000
Er1 0.0000 0.3673 0.8197
```

Top 8 peaks for 5° ≤ 2θ ≤ 70°, in order of rising 2θ:
(2 0 1), 2θ 24.25, rel. 12
(3 -1 1), 2θ 30.24, rel. 32
(3 0 0), 2θ 31.09, rel. 84
(1 1 2), 2θ 31.30, rel. 100
(4 -2 2), 2θ 44.69, rel. 28
(3 2 1), 2θ 47.75, rel. 13
(4 1 2), 2θ 55.44, rel. 22
(2 -1 4), 2θ 55.84, rel. 19



This entry pairs a crystal structure of Al2GaCu with its simulated XRD peak list. Radiation: Cu Kα X-rays. Structure: DFT lattice parameters and positions (GGA-PBE).

Crystal structure
```
data_Al2GaCu
_chemical_formula_sum 'Al4 Ga2 Cu2'
_symmetry_space_group_name_H-M 'P 1 21/m 1'
_symmetry_Int_Tables_number 11
_cell_length_a 3.7410
_cell_length_b 7.3970
_cell_length_c 4.9973
_cell_angle_alpha 90.00
_cell_angle_beta 111.27
_cell_angle_gamma 90.00
loop_
_symmetry_equiv_pos_as_xyz
'x,y,z'
'-x,-y,-z'
'-x,y+1/2,-z'
'x,-y+1/2,z'
loop_
_atom_site_label
_atom_site_fract_x
_atom_site_fract_y
_atom_site_fract_z
Al1 0.1417 0.0494 0.2802
Ga1 0.4497 0.2500 0.8946
Cu1 0.2679 0.7500 0.5351
```

Top 8 peaks for 5° ≤ 2θ ≤ 70°, in order of rising 2θ:
(0 2 0), 2θ 24.06, rel. 97
(1 2 0), 2θ 35.38, rel. 83
(1 2 -1), 2θ 35.55, rel. 82
(1 1 1), 2θ 39.42, rel. 100
(1 1 -2), 2θ 39.87, rel. 99
(0 1 2), 2θ 40.62, rel. 58
(0 2 2), 2θ 46.06, rel. 51
(2 0 -1), 2θ 48.68, rel. 57



This entry pairs a crystal structure of Mg2SbPb with its simulated XRD peak list. Radiation: Cu Kα X-rays. Structure: DFT lattice parameters and positions (GGA-PBE).

Crystal structure
```
data_Mg2SbPb
_chemical_formula_sum 'Mg8 Sb4 Pb4'
_symmetry_space_group_name_H-M 'I -4 2 d'
_symmetry_Int_Tables_number 122
_symmetry_space_group_name_Hall 'I -4 2bw'
_cell_length_a 8.1522
_cell_length_b 8.1522
_cell_length_c 6.6606
_cell_angle_alpha 90.00
_cell_angle_beta 90.00
_cell_angle_gamma 90.00
loop_
_atom_site_label
_atom_site_fract_x
_atom_site_fract_y
_atom_site_fract_z
Mg1 0.2234 0.7500 0.1250
Sb1 0.0000 0.0000 0.0000
Pb1 0.0000 0.0000 0.5000
```

Top 8 peaks for 5° ≤ 2θ ≤ 70°, in order of rising 2θ:
(1 0 1), 2θ 17.19, rel. 6
(2 0 0), 2θ 21.80, rel. 50
(2 2 0), 2θ 31.02, rel. 100
(4 0 0), 2θ 44.44, rel. 60
(4 2 0), 2θ 50.04, rel. 12
(3 3 2), 2θ 55.18, rel. 14
(2 0 4), 2θ 60.02, rel. 12
(4 4 0), 2θ 64.67, rel. 25



This entry pairs a crystal structure of La2MgIrI with its simulated XRD peak list. Radiation: Cu Kα X-rays. Structure: DFT lattice parameters and positions (GGA-PBE).

Crystal structure
```
data_La2MgIrI
_chemical_formula_sum 'La2 Mg1 Ir1 I1'
_symmetry_space_group_name_H-M 'P 4/m m m'
_symmetry_Int_Tables_number 123
_symmetry_space_group_name_Hall '-P 4 2'
_cell_length_a 5.5731
_cell_length_b 5.5731
_cell_length_c 5.2086
_cell_angle_alpha 90.00
_cell_angle_beta 90.00
_cell_angle_gamma 90.00
loop_
_atom_site_label
_atom_site_fract_x
_atom_site_fract_y
_atom_site_fract_z
La1 0.0000 0.5000 0.0000
Mg1 0.0000 0.0000 0.5000
Ir1 0.0000 0.0000 0.0000
I1 0.5000 0.5000 0.5000
```

Top 8 peaks for 5° ≤ 2θ ≤ 70°, in order of rising 2θ:
(0 0 1), 2θ 17.02, rel. 59
(1 0 1), 2θ 23.38, rel. 98
(1 1 1), 2θ 28.40, rel. 41
(2 0 0), 2θ 32.12, rel. 100
(0 0 2), 2θ 34.44, rel. 42
(2 1 1), 2θ 40.11, rel. 48
(2 2 0), 2θ 46.07, rel. 37
(2 0 2), 2θ 47.80, rel. 66



This entry pairs a crystal structure of Ni5Se8Cl with its simulated XRD peak list. Radiation: Cu Kα X-rays. Structure: DFT lattice parameters and positions (GGA-PBE).

Crystal structure
```
data_Ni5Se8Cl
_chemical_formula_sum 'Ni10 Se16 Cl2'
_symmetry_space_group_name_H-M 'C 1 m 1'
_symmetry_Int_Tables_number 8
_cell_length_a 18.6094
_cell_length_b 3.6319
_cell_length_c 7.7965
_cell_angle_alpha 90.00
_cell_angle_beta 102.13
_cell_angle_gamma 90.00
loop_
_symmetry_equiv_pos_as_xyz
'x,y,z'
'x,-y,z'
'x+1/2,y+1/2,z'
'x+1/2,-y+1/2,z'
loop_
_atom_site_label
_atom_site_fract_x
_atom_site_fract_y
_atom_site_fract_z
Ni1 0.0000 0.0000 0.0000
Ni2 0.0447 0.0000 0.3545
Ni3 0.1404 0.5000 0.6901
Ni4 0.1850 0.5000 0.0446
Ni5 0.3426 0.0000 0.0222
Se1 0.0164 0.5000 0.5287
Se2 0.0756 0.5000 0.1722
Se3 0.1094 0.0000 0.8725
Se4 0.1687 0.0000 0.5159
Se5 0.2513 0.0000 0.2034
Se6 0.2740 0.5000 0.8624
Se7 0.4111 0.5000 0.1822
Se8 0.4338 0.0000 0.8408
Cl1 0.3424 0.5000 0.5251
```

Top 8 peaks for 5° ≤ 2θ ≤ 70°, in order of rising 2θ:
(2 0 0), 2θ 9.72, rel. 42
(0 0 1), 2θ 11.61, rel. 52
(3 1 1), 2θ 32.19, rel. 100
(6 0 -2), 2θ 33.69, rel. 67
(3 1 -2), 2θ 35.18, rel. 55
(3 1 -3), 2θ 43.46, rel. 40
(0 2 0), 2θ 50.24, rel. 39
(9 1 -1), 2θ 50.89, rel. 81